No. 1
Calculated powder XRD pattern
Compound: RbHoTe2Au
Radiation: λ = 1.5418 Å (Cu Kα)
Structure: a GGA-PBE-relaxed structure
Intensities are scaled so that the largest is 100.

```
data_RbHoTe2Au
_chemical_formula_sum 'Rb2 Ho2 Te4 Au2'
_symmetry_space_group_name_H-M 'P 1 2/c 1'
_symmetry_Int_Tables_number 13
_cell_length_a 8.7522
_cell_length_b 4.8025
_cell_length_c 8.5216
_cell_angle_alpha 90.00
_cell_angle_beta 95.00
_cell_angle_gamma 90.00
loop_
_symmetry_equiv_pos_as_xyz
'x,y,z'
'-x,-y,-z'
'-x,y,-z+1/2'
'x,-y,z+1/2'
loop_
_atom_site_label
_atom_site_fract_x
_atom_site_fract_y
_atom_site_fract_z
Rb1 0.0000 0.0962 0.2500
Ho1 0.5000 0.4971 0.7500
Te1 0.2590 0.3754 0.9795
Au1 0.5000 0.0000 0.0000
```

Peak list (10 most intense, 2θ from 10° to 90°, by intensity)
hkl 1 0 0, d 8.719, 2θ 10.15, I 100.0; hkl 1 1 2, d 2.927, 2θ 30.54, I 43.6; hkl 1 1 -2, d 3.053, 2θ 29.26, I 31.8; hkl 2 1 -2, d 2.653, 2θ 33.78, I 31.4; hkl 2 1 2, d 2.493, 2θ 36.03, I 27.7; hkl 3 1 -2, d 2.219, 2θ 40.66, I 26.3; hkl 4 0 0, d 2.180, 2θ 41.42, I 20.7; hkl 2 1 0, d 3.228, 2θ 27.64, I 20.5; hkl 1 1 1, d 3.708, 2θ 24.00, I 19.1; hkl 1 0 -4, d 2.104, 2θ 42.99, I 18.7

***

No. 2
Calculated powder XRD pattern
Compound: ThNpZn17
Radiation: λ = 1.5418 Å (Cu Kα)
Structure: a GGA-PBE-relaxed structure
Intensities are scaled so that the largest is 100.

```
data_ThNpZn17
_chemical_formula_sum 'Th3 Np3 Zn51'
_symmetry_space_group_name_H-M 'R 3 m'
_symmetry_Int_Tables_number 160
_symmetry_space_group_name_Hall 'R 3 -2"'
_cell_length_a 9.0229
_cell_length_b 9.0229
_cell_length_c 13.2426
_cell_angle_alpha 90.00
_cell_angle_beta 90.00
_cell_angle_gamma 120.00
loop_
_atom_site_label
_atom_site_fract_x
_atom_site_fract_y
_atom_site_fract_z
Th1 0.0000 0.0000 0.0000
Np1 0.0000 0.0000 0.6728
Zn1 0.0000 0.0000 0.2384
Zn2 0.0000 0.0000 0.4380
Zn3 0.0008 0.5004 0.8367
Zn4 0.0017 0.2953 0.3369
Zn5 0.0124 0.5062 0.4884
Zn6 0.1689 0.3378 0.5182
```

Peak list (10 most intense, 2θ from 10° to 90°, by intensity)
hkl 0 3 3, d 2.243, 2θ 40.20, I 100.0; hkl 2 2 0, d 2.256, 2θ 39.97, I 59.6; hkl 0 0 6, d 2.206, 2θ 40.91, I 46.4; hkl 1 1 3, d 3.155, 2θ 28.29, I 46.0; hkl 3 0 0, d 2.605, 2θ 34.43, I 43.7; hkl 0 2 4, d 2.526, 2θ 35.54, I 25.8; hkl 2 2 6, d 1.577, 2θ 58.52, I 25.6; hkl 4 1 3, d 1.591, 2θ 57.96, I 24.8; hkl 6 0 0, d 1.302, 2θ 72.61, I 22.7; hkl 0 3 9, d 1.281, 2θ 73.99, I 19.7

***

No. 3
Calculated powder XRD pattern
Compound: Cs3AgHg2F9
Radiation: λ = 1.5418 Å (Cu Kα)
Structure: a GGA-PBE-relaxed structure
Intensities are scaled so that the largest is 100.

```
data_Cs3AgHg2F9
_chemical_formula_sum 'Cs3 Ag1 Hg2 F9'
_symmetry_space_group_name_H-M 'P -3 m 1'
_symmetry_Int_Tables_number 164
_symmetry_space_group_name_Hall '-P 3 2"'
_cell_length_a 6.5253
_cell_length_b 6.5253
_cell_length_c 8.0012
_cell_angle_alpha 90.00
_cell_angle_beta 90.00
_cell_angle_gamma 120.00
loop_
_atom_site_label
_atom_site_fract_x
_atom_site_fract_y
_atom_site_fract_z
Cs1 0.0000 0.0000 0.0000
Cs2 0.3333 0.6667 0.6645
Ag1 0.0000 0.0000 0.5000
Hg1 0.3333 0.6667 0.1715
F1 0.0000 0.5000 0.0000
F2 0.1651 0.3302 0.3358
```

Peak list (10 most intense, 2θ from 10° to 90°, by intensity)
hkl 1 1 0, d 3.264, 2θ 27.32, I 100.0; hkl 3 0 0, d 1.884, 2θ 48.30, I 42.9; hkl 2 0 2, d 2.308, 2θ 39.03, I 31.8; hkl 4 1 0, d 1.234, 2θ 77.35, I 22.2; hkl 2 2 0, d 1.632, 2θ 56.38, I 20.8; hkl 3 1 2, d 1.460, 2θ 63.76, I 19.1; hkl 0 4 2, d 1.332, 2θ 70.70, I 6.9; hkl 1 0 1, d 4.616, 2θ 19.23, I 6.8; hkl 4 0 4, d 1.154, 2θ 83.83, I 3.3; hkl 2 1 1, d 2.064, 2θ 43.86, I 3.2

***

No. 4
Calculated powder XRD pattern
Compound: P
Radiation: λ = 1.5418 Å (Cu Kα)
Structure: a GGA-PBE-relaxed structure
Intensities are scaled so that the largest is 100.

```
data_P
_chemical_formula_sum 'P4'
_symmetry_space_group_name_H-M 'P m n a'
_symmetry_Int_Tables_number 53
_cell_length_a 3.3022
_cell_length_b 6.1012
_cell_length_c 4.5847
_cell_angle_alpha 90.00
_cell_angle_beta 90.00
_cell_angle_gamma 90.00
loop_
_symmetry_equiv_pos_as_xyz
'x,y,z'
'-x,-y,-z'
'-x+1/2,-y,z+1/2'
'x+1/2,y,-z+1/2'
'x,-y,-z'
'-x,y,z'
'-x+1/2,y,-z+1/2'
'x+1/2,-y,z+1/2'
loop_
_atom_site_label
_atom_site_fract_x
_atom_site_fract_y
_atom_site_fract_z
P1 0.0000 0.1731 0.0877
```

Peak list (10 most intense, 2θ from 10° to 90°, by intensity)
hkl 0 1 0, d 6.101, 2θ 14.52, I 100.0; hkl 1 0 1, d 2.679, 2θ 33.44, I 71.6; hkl 0 1 1, d 3.665, 2θ 24.28, I 53.4; hkl 1 1 2, d 1.799, 2θ 50.74, I 33.8; hkl 1 3 1, d 1.620, 2θ 56.83, I 27.2; hkl 0 2 0, d 3.051, 2θ 29.28, I 23.6; hkl 1 1 1, d 2.453, 2θ 36.63, I 23.4; hkl 0 3 0, d 2.034, 2θ 44.55, I 20.1; hkl 1 2 2, d 1.602, 2θ 57.52, I 19.7; hkl 1 2 1, d 2.013, 2θ 45.03, I 18.5

***

No. 5
Calculated powder XRD pattern
Compound: Pm2CuSb4Pd3
Radiation: λ = 1.5418 Å (Cu Kα)
Structure: a GGA-PBE-relaxed structure
Intensities are scaled so that the largest is 100.

```
data_Pm2CuSb4Pd3
_chemical_formula_sum 'Pm2 Cu1 Sb4 Pd3'
_symmetry_space_group_name_H-M 'P -4 m 2'
_symmetry_Int_Tables_number 115
_cell_length_a 4.4451
_cell_length_b 4.4451
_cell_length_c 11.3944
_cell_angle_alpha 90.00
_cell_angle_beta 90.00
_cell_angle_gamma 90.00
loop_
_symmetry_equiv_pos_as_xyz
'x,y,z'
'y,-x,-z'
'-x,-y,z'
'-y,x,-z'
'-x,y,z'
'-y,-x,-z'
'x,-y,z'
'y,x,-z'
loop_
_atom_site_label
_atom_site_fract_x
_atom_site_fract_y
_atom_site_fract_z
Pm1 0.0000 0.5000 0.2307
Cu1 0.5000 0.5000 0.0000
Sb1 0.0000 0.0000 0.5000
Sb2 0.0000 0.5000 0.8698
Sb3 0.5000 0.5000 0.5000
Pd1 0.0000 0.0000 0.0000
Pd2 0.0000 0.5000 0.6419
```

Peak list (10 most intense, 2θ from 10° to 90°, by intensity)
hkl 1 1 2, d 2.752, 2θ 32.53, I 100.0; hkl 2 0 0, d 2.223, 2θ 40.59, I 63.5; hkl 1 0 3, d 2.888, 2θ 30.97, I 53.9; hkl 1 0 5, d 2.028, 2θ 44.69, I 29.5; hkl 1 1 4, d 2.111, 2θ 42.84, I 28.0; hkl 2 1 3, d 1.761, 2θ 51.92, I 25.1; hkl 3 1 2, d 1.365, 2θ 68.79, I 22.2; hkl 2 1 5, d 1.498, 2θ 61.94, I 22.1; hkl 2 2 0, d 1.572, 2θ 58.75, I 21.0; hkl 1 1 0, d 3.143, 2θ 28.40, I 13.4